This entry pairs a crystal structure of MgGaMo4O7 with its calculated X-ray powder pattern. Radiation: Cu Kα (weighted mean of Kα1 and Kα2). Structure: the GGA+U geometry in Alexandria.
Intensities are scaled so that the largest is 100.

Principal peaks in the range 15 to 90 degrees two-theta, by angle:
two_theta	I_rel
15.05	80
29.87	81
30.35	81
35.55	68
37.07	67
37.21	57
42.03	100
61.31	99

Structural model:
```
MgGaMo4O7
1.0
-2.9517 3.1376 8.5072
2.9517 -3.1376 8.5072
2.9517 3.1376 -8.5072
Mg Ga Mo O
2 2 8 14
Direct
0.0000 0.0000 0.0000
0.5000 0.0000 0.5000
0.3059 0.5559 0.7500
0.6941 0.4441 0.2500
0.1178 0.1406 0.5227
0.1178 0.5951 0.9773
0.2439 0.2460 0.9979
0.2518 0.7540 0.4979
0.7482 0.2460 0.5021
0.7561 0.7540 0.0021
0.8822 0.4049 0.0227
0.8822 0.8594 0.4773
0.0935 0.1221 0.9714
0.1396 0.6250 0.5145
0.2443 0.2354 0.4911
0.2443 0.7533 0.0089
0.3492 0.8779 0.4714
0.3895 0.3750 0.0145
0.5000 0.0000 0.0000
0.5000 0.5000 0.5000
0.6105 0.6250 0.9855
0.6508 0.1221 0.5286
0.7557 0.2467 0.9911
0.7557 0.7646 0.5089
0.8604 0.3750 0.4855
0.9065 0.8779 0.0286
```